No. 1
For Ba2InGe, a GGA-PBE-relaxed structure gives the theoretical powder XRD pattern in this record (CuKα).

Peak list (10 most intense, 2θ = 5–70°, in order of rising 2θ)
2θ/deg  Rel. int.
21.35  3
23.89  4
30.38  100
43.44  13
43.61  5
44.94  3
53.94  25
54.05  11
63.11  4
63.24  7

Crystal structure
```
data_Ba2InGe
_chemical_formula_sum 'Ba2 In1 Ge1'
_cell_length_a 4.167
_cell_length_b 4.167
_cell_length_c 8.302
_cell_angle_alpha 90.00
_cell_angle_beta 90.00
_cell_angle_gamma 90.00
_symmetry_space_group_name_H-M 'P 4/m m m'
_symmetry_Int_Tables_number 123
_symmetry_space_group_name_Hall '-P 4 2'
loop_
_atom_site_label
_atom_site_type_symbol
_atom_site_fract_x
_atom_site_fract_y
_atom_site_fract_z
Ba1 Ba 0.000 0.000 0.226
In1 In 0.500 0.500 0.500
Ge1 Ge 0.500 0.500 0.000
```



No. 2
For Ba3InGe, a GGA-PBE-relaxed structure gives the theoretical powder XRD pattern in this record (CuKα).

Peak list (10 most intense, 2θ = 5–70°, in order of rising 2θ)
2θ/deg  Rel. int.
22.68  29
25.08  52
27.36  92
27.71  89
29.61  100
29.78  59
33.14  54
34.07  33
45.08  30
49.63  56

Crystal structure
```
data_Ba3InGe
_chemical_formula_sum 'Ba24 In8 Ge8'
_cell_length_a 7.841
_cell_length_b 10.955
_cell_length_c 18.646
_cell_angle_alpha 90.00
_cell_angle_beta 90.00
_cell_angle_gamma 90.00
_symmetry_space_group_name_H-M 'F m m m'
_symmetry_Int_Tables_number 69
_symmetry_space_group_name_Hall '-F 2 2'
loop_
_atom_site_label
_atom_site_type_symbol
_atom_site_fract_x
_atom_site_fract_y
_atom_site_fract_z
Ba1 Ba 0.000 0.000 0.200
Ba2 Ba 0.000 0.194 0.396
In1 In 0.183 0.000 0.000
Ge1 Ge 0.250 0.250 0.250
```



No. 3
For Ba2InGe, a GGA-PBE-relaxed structure gives the theoretical powder XRD pattern in this record (CuKα).

Peak list (10 most intense, 2θ = 5–70°, in order of rising 2θ)
2θ/deg  Rel. int.
26.92  100
27.06  52
27.65  21
33.44  72
33.93  28
35.00  32
39.12  25
48.21  21
52.77  19
67.61  22

Crystal structure
```
data_Ba2InGe
_chemical_formula_sum 'Ba4 In2 Ge2'
_cell_length_a 6.946
_cell_length_b 4.605
_cell_length_c 10.034
_cell_angle_alpha 90.00
_cell_angle_beta 108.29
_cell_angle_gamma 90.00
_symmetry_space_group_name_H-M 'P 1 21/m 1'
_symmetry_Int_Tables_number 11
loop_
_symmetry_equiv_pos_as_xyz
'x,y,z'
'-x,-y,-z'
'-x,y+1/2,-z'
'x,-y+1/2,z'
loop_
_atom_site_label
_atom_site_type_symbol
_atom_site_fract_x
_atom_site_fract_y
_atom_site_fract_z
Ba1 Ba 0.197 0.250 0.422
Ba2 Ba 0.280 0.750 0.061
In1 In 0.354 0.750 0.719
Ge1 Ge 0.152 0.250 0.784
```



No. 4
For BaIn4Ge4, a GGA-PBE-relaxed structure gives the theoretical powder XRD pattern in this record (CuKα).

Peak list (10 most intense, 2θ = 5–70°, in order of rising 2θ)
2θ/deg  Rel. int.
25.91  18
29.04  100
31.57  47
34.79  34
38.28  22
39.05  17
40.30  21
47.68  34
50.03  22
53.28  36

Crystal structure
```
data_BaIn4Ge4
_chemical_formula_sum 'Ba2 In8 Ge8'
_cell_length_a 7.293
_cell_length_b 7.293
_cell_length_c 9.228
_cell_angle_alpha 90.00
_cell_angle_beta 90.00
_cell_angle_gamma 90.00
_symmetry_space_group_name_H-M 'P 42/n m c'
_symmetry_Int_Tables_number 137
loop_
_symmetry_equiv_pos_as_xyz
'x,y,z'
'-x,-y,-z'
'-y+1/2,x,z+1/2'
'y+1/2,-x,-z+1/2'
'-x+1/2,-y+1/2,z'
'x+1/2,y+1/2,-z'
'y,-x+1/2,z+1/2'
'-y,x+1/2,-z+1/2'
'x+1/2,-y,-z'
'-x+1/2,y,z'
'-y,-x,-z+1/2'
'y,x,z+1/2'
'-x,y+1/2,-z'
'x,-y+1/2,z'
'y+1/2,x+1/2,-z+1/2'
'-y+1/2,-x+1/2,z+1/2'
loop_
_atom_site_label
_atom_site_type_symbol
_atom_site_fract_x
_atom_site_fract_y
_atom_site_fract_z
Ba1 Ba 0.250 0.750 0.250
In1 In 0.006 0.250 0.119
Ge1 Ge 0.060 0.250 0.421
```



No. 5
For Ba4In3Ge5, a GGA-PBE-relaxed structure gives the theoretical powder XRD pattern in this record (CuKα).

Peak list (10 most intense, 2θ = 5–70°, in order of rising 2θ)
2θ/deg  Rel. int.
24.38  70
25.35  54
29.19  38
30.27  100
33.58  42
34.28  30
34.41  65
34.96  33
35.34  32
48.83  39

Crystal structure
```
data_Ba4In3Ge5
_chemical_formula_sum 'Ba8 In6 Ge10'
_cell_length_a 15.425
_cell_length_b 5.213
_cell_length_c 10.883
_cell_angle_alpha 90.00
_cell_angle_beta 112.38
_cell_angle_gamma 90.00
_symmetry_space_group_name_H-M 'C 1 2/m 1'
_symmetry_Int_Tables_number 12
loop_
_symmetry_equiv_pos_as_xyz
'x,y,z'
'-x,-y,-z'
'-x,y,-z'
'x,-y,z'
'x+1/2,y+1/2,z'
'-x+1/2,-y+1/2,-z'
'-x+1/2,y+1/2,-z'
'x+1/2,-y+1/2,z'
loop_
_atom_site_label
_atom_site_type_symbol
_atom_site_fract_x
_atom_site_fract_y
_atom_site_fract_z
Ba1 Ba 0.050 0.000 0.355
Ba2 Ba 0.238 0.500 0.229
In1 In 0.000 0.000 0.000
In2 In 0.138 0.500 0.883
Ge1 Ge 0.000 0.500 0.000
Ge2 Ge 0.086 0.500 0.600
Ge3 Ge 0.221 0.500 0.531
```



No. 6
For Ba2Mg4InGe3, a GGA-PBE-relaxed structure gives the theoretical powder XRD pattern in this record (CuKα).

Peak list (10 most intense, 2θ = 5–70°, in order of rising 2θ)
2θ/deg  Rel. int.
20.24  14
27.73  23
29.66  59
30.77  100
38.03  51
43.07  27
48.96  29
54.88  18
58.79  21
64.25  23

Crystal structure
```
data_Ba2Mg4InGe3
_chemical_formula_sum 'Ba2 Mg4 In1 Ge3'
_cell_length_a 4.732
_cell_length_b 4.732
_cell_length_c 11.717
_cell_angle_alpha 90.00
_cell_angle_beta 90.00
_cell_angle_gamma 90.00
_symmetry_space_group_name_H-M 'P -4 m 2'
_symmetry_Int_Tables_number 115
loop_
_symmetry_equiv_pos_as_xyz
'x,y,z'
'y,-x,-z'
'-x,-y,z'
'-y,x,-z'
'-x,y,z'
'-y,-x,-z'
'x,-y,z'
'y,x,-z'
loop_
_atom_site_label
_atom_site_type_symbol
_atom_site_fract_x
_atom_site_fract_y
_atom_site_fract_z
Ba1 Ba 0.000 0.500 0.245
Mg1 Mg 0.000 0.000 0.000
Mg2 Mg 0.000 0.500 0.639
Mg3 Mg 0.500 0.500 0.000
In1 In 0.000 0.000 0.500
Ge1 Ge 0.000 0.500 0.870
Ge2 Ge 0.500 0.500 0.500
```